No. 1
Starting from a structure optimized by DFT (GGA-PBE), the powder X-ray diffraction pattern of K3FeC6N6 was calculated for copper Kα.
Lines closer than 0.1° are merged.

Structure:
Unit cell a=6.9667 b=10.3389 c=8.2315 alpha=90.00 beta=106.90 gamma=90.00
Space group P2_1/c (No. 14)
Unique sites:
K 0.0000 0.0000 0.0000
K 0.4971 0.2287 0.8754
Fe 0.0000 0.0000 0.5000
C 0.1188 0.1664 0.5292
C 0.1844 0.5514 0.2085
C 0.1878 0.5547 0.8866
N 0.2006 0.2326 0.0496
N 0.2964 0.5835 0.3392
N 0.3014 0.5894 0.8139

Main lines, sorted by position (5° ≤ 2θ ≤ 70°):
two_theta, intensity, h k l
21.76, 100, 1 2 0
22.61, 28, 0 0 2
29.17, 22, 1 3 0
29.51, 20, 1 0 2
29.66, 20, 2 0 -2
30.78, 28, 1 1 2
30.92, 28, 2 1 -2
34.61, 25, 0 3 2
44.01, 25, 1 0 -4
44.37, 31, 3 2 0

No. 2
Starting from a structure optimized by DFT (GGA-PBE), the powder X-ray diffraction pattern of La2FeC4 was calculated for copper Kα.
Lines closer than 0.1° are merged.

Structure:
Unit cell a=7.6250 b=10.4534 c=5.2552 alpha=90.00 beta=90.00 gamma=90.00
Space group Ibam (No. 72)
Unique sites:
La 0.1635 0.1447 0.0000
Fe 0.0000 0.5000 0.2500
C 0.1579 0.4241 0.0000
C 0.1732 0.1192 0.5000

Main lines, sorted by position (5° ≤ 2θ ≤ 70°):
two_theta, intensity, h k l
26.75, 100, 1 2 1
28.16, 48, 1 3 0
30.20, 72, 2 1 1
34.12, 24, 0 0 2
36.38, 31, 3 1 0
37.20, 24, 1 1 2
41.75, 18, 2 0 2
49.17, 27, 0 4 2
52.90, 20, 2 5 1
56.92, 43, 3 3 2

No. 3
Starting from a structure optimized by DFT (GGA-PBE), the powder X-ray diffraction pattern of LaPrFe2C4 was calculated for copper Kα.
Lines closer than 0.1° are merged.

Structure:
Unit cell a=3.8505 b=3.8552 c=7.4353 alpha=81.67 beta=81.48 gamma=89.89
Space group P1 (No. 1)
Unique sites:
La 0.0000 0.0000 0.0000
Pr 0.8506 0.1474 0.5010
Fe 0.3068 0.5894 0.6977
Fe 0.4401 0.4555 0.1978
C 0.3731 0.6759 0.4326
C 0.4151 0.9331 0.2776
C 0.5266 0.5210 0.9316
C 0.7839 0.5639 0.7753

Main lines, sorted by position (5° ≤ 2θ ≤ 70°):
two_theta, intensity, h k l
23.34, 33, 0 1 0
24.47, 34, 0 0 2
27.99, 27, 1 0 -1
31.39, 100, 1 0 2
32.91, 28, 1 -1 0
33.59, 67, 1 1 0
35.21, 62, 1 -1 1
36.59, 87, 0 1 -2
37.45, 30, 1 1 2
47.51, 36, 2 0 1

No. 4
Starting from a structure optimized by DFT (GGA-PBE), the powder X-ray diffraction pattern of La21Fe8Sb7C12 was calculated for copper Kα.
Lines closer than 0.1° are merged.

Structure:
Unit cell a=16.4393 b=16.4393 c=16.4393 alpha=90.00 beta=90.00 gamma=90.00
Space group Fm-3m (No. 225)
Unique sites:
La 0.0000 0.0000 0.0000
La 0.0000 0.1722 0.1722
La 0.1326 0.1326 0.3674
Fe 0.1965 0.1965 0.1965
Sb 0.0000 0.0000 0.2738
Sb 0.0000 0.0000 0.5000
C 0.1100 0.2500 0.2500

Main lines, sorted by position (5° ≤ 2θ ≤ 70°):
two_theta, intensity, h k l
28.21, 100, 3 3 3
30.77, 53, 4 4 0
32.21, 67, 5 3 1
32.68, 77, 6 0 0
42.23, 24, 5 5 3
46.90, 27, 6 6 0
50.91, 19, 8 4 2
54.71, 33, 8 4 4
55.63, 15, 9 3 3
62.68, 15, 11 1 1

No. 5
Starting from a structure optimized by DFT (GGA-PBE), the powder X-ray diffraction pattern of Rb2LiFeC6N6 was calculated for copper Kα.
Lines closer than 0.1° are merged.

Structure:
Unit cell a=7.0890 b=7.3945 c=12.3904 alpha=90.00 beta=124.65 gamma=90.00
Space group P2_1/c (No. 14)
Unique sites:
Rb 0.2348 0.0582 0.2500
Li 0.0000 0.0000 0.5000
Fe 0.5000 0.0000 0.0000
C 0.2578 0.1450 0.9752
C 0.3272 0.7120 0.4717
C 0.3695 0.0097 0.8178
N 0.1085 0.2366 0.9597
N 0.2191 0.6566 0.9539
N 0.2848 0.0184 0.7042

Main lines, sorted by position (5° ≤ 2θ ≤ 70°):
two_theta, intensity, h k l
14.80, 19, 0 1 1
15.24, 18, 1 0 -2
24.07, 23, 0 2 0
24.65, 100, 1 1 1
25.12, 27, 2 0 -2
29.23, 19, 2 1 -1
29.86, 21, 0 2 2
35.07, 33, 2 2 -2
35.22, 24, 0 0 4
39.71, 21, 1 3 -2

No. 6
Starting from a structure optimized by DFT (GGA-PBE), the powder X-ray diffraction pattern of Lu2Fe17C3 was calculated for copper Kα.
Lines closer than 0.1° are merged.

Structure:
Unit cell a=8.5443 b=8.5443 c=12.4793 alpha=90.00 beta=90.00 gamma=120.00
Space group R-3m (No. 166, hexagonal axes)
Unique sites:
Lu 0.0000 0.0000 0.1583
Fe 0.0000 0.0000 0.4042
Fe 0.0000 0.2837 0.5000
Fe 0.0000 0.5000 0.0000
Fe 0.0059 0.5029 0.3471
C 0.0000 0.5000 0.5000

Main lines, sorted by position (5° ≤ 2θ ≤ 70°):
two_theta, intensity, h k l
29.98, 49, 1 1 3
36.43, 41, 3 0 0
37.72, 30, 0 2 4
42.31, 74, 2 2 0
42.61, 100, 3 0 3
43.49, 56, 0 0 6
43.75, 15, 2 0 5
61.64, 35, 2 1 7
62.29, 33, 2 2 6
69.82, 17, 3 3 3

No. 7
Starting from a structure optimized by DFT (GGA-PBE), the powder X-ray diffraction pattern of Lu2Ta4Fe3C3 was calculated for copper Kα.
Lines closer than 0.1° are merged.

Structure:
Unit cell a=9.4491 b=5.4747 c=13.5660 alpha=90.00 beta=103.92 gamma=90.00
Space group C2/c (No. 15)
Unique sites:
Lu 0.0397 0.0830 0.3762
Ta 0.1145 0.4089 0.5908
Ta 0.2240 0.4183 0.9089
Fe 0.0000 0.4223 0.7500
Fe 0.2476 0.1625 0.7503
C 0.0851 0.2561 0.9994
C 0.2500 0.2500 0.5000

Main lines, sorted by position (5° ≤ 2θ ≤ 70°):
two_theta, intensity, h k l
27.09, 29, 0 0 4
32.78, 33, 3 1 -1
33.45, 46, 0 2 1
33.57, 21, 3 1 0
38.74, 100, 0 2 3
38.99, 48, 3 1 2
41.13, 24, 0 0 6
42.92, 20, 3 1 -5
58.45, 20, 3 3 -1
65.46, 15, 6 0 -6

No. 8
Starting from a structure optimized by DFT (GGA-PBE), the powder X-ray diffraction pattern of Nb4Fe3Mo2C3 was calculated for copper Kα.
Lines closer than 0.1° are merged.

Structure:
Unit cell a=9.1989 b=5.3151 c=13.7130 alpha=90.00 beta=103.02 gamma=90.00
Space group C2/c (No. 15)
Unique sites:
Nb 0.1144 0.0845 0.0924
Nb 0.2195 0.0829 0.4077
Fe 0.0000 0.0805 0.2500
Fe 0.2473 0.3362 0.2497
Mo 0.0496 0.4177 0.9037
C 0.0802 0.2595 0.5000
C 0.2500 0.2500 0.0000

Main lines, sorted by position (5° ≤ 2θ ≤ 70°):
two_theta, intensity, h k l
33.74, 20, 0 2 0
34.42, 36, 3 1 0
39.48, 100, 3 1 -4
39.53, 48, 3 1 2
40.51, 35, 0 0 6
43.53, 24, 3 1 3
53.71, 14, 0 2 6
59.65, 18, 3 1 6
60.35, 20, 6 0 -2
67.15, 15, 3 3 3

No. 9
Starting from a structure optimized by DFT (GGA-PBE), the powder X-ray diffraction pattern of Sc2Fe3Mo4C3 was calculated for copper Kα.
Lines closer than 0.1° are merged.

Structure:
Unit cell a=9.1293 b=5.2684 c=13.6363 alpha=90.00 beta=103.51 gamma=90.00
Space group C2/c (No. 15)
Unique sites:
Sc 0.0408 0.0831 0.3799
Fe 0.0000 0.4189 0.7500
Fe 0.2463 0.1612 0.7507
Mo 0.1112 0.4059 0.5846
Mo 0.2262 0.4199 0.9155
C 0.0832 0.2493 0.0001
C 0.2500 0.2500 0.5000

Main lines, sorted by position (5° ≤ 2θ ≤ 70°):
two_theta, intensity, h k l
19.59, 45, 1 1 0
19.99, 36, 2 0 0
34.03, 38, 3 1 -1
34.68, 42, 3 1 -2
39.66, 99, 3 1 -4
39.84, 100, 0 2 3
40.00, 92, 3 1 2
40.84, 67, 0 0 6
41.20, 32, 2 0 -6
60.90, 37, 6 0 -2